Entry 1:
# Rb2HfFe2
Calculated powder X-ray diffraction pattern, Cu Kα, 1.54184 Å. Input: a crystal structure in Alexandria, relaxed with PBE.
Lines closer than 0.1° are merged.

Cell and atoms:
```
data_Rb2HfFe2
_chemical_formula_sum 'Rb4 Hf2 Fe4'
_space_group_name_H-M_alt 'P 4/m b m'
_space_group_IT_number 127
_space_group_name_Hall '-P 4 2ab'
_cell_length_a 6.597
_cell_length_b 6.597
_cell_length_c 6.382
_cell_angle_alpha 90.00
_cell_angle_beta 90.00
_cell_angle_gamma 90.00
loop_
_atom_site_label
_atom_site_fract_x
_atom_site_fract_y
_atom_site_fract_z
Rb1 0.181 0.319 0.000
Hf1 0.000 0.000 0.500
Fe1 0.124 0.624 0.500
```

Most intense lines, 10 to 80 degrees two-theta, low angle first:
2θ = 23.62°, I 47
2θ = 27.96°, I 82
2θ = 30.51°, I 100
2θ = 33.46°, I 77
2θ = 43.38°, I 42
2θ = 52.40°, I 48

=====

Entry 2:
# Hf4FeRh3
Calculated powder X-ray diffraction pattern, Cu Kα, 1.54184 Å. Input: a crystal structure in Alexandria, relaxed with PBE.
Lines closer than 0.1° are merged.

Cell and atoms:
```
data_Hf4FeRh3
_chemical_formula_sum 'Hf4 Fe1 Rh3'
_space_group_name_H-M_alt 'P 4/m m m'
_space_group_IT_number 123
_space_group_name_Hall '-P 4 2'
_cell_length_a 3.241
_cell_length_b 3.241
_cell_length_c 12.956
_cell_angle_alpha 90.00
_cell_angle_beta 90.00
_cell_angle_gamma 90.00
loop_
_atom_site_label
_atom_site_fract_x
_atom_site_fract_y
_atom_site_fract_z
Hf1 0.000 0.000 0.118
Hf2 0.000 0.000 0.373
Fe1 0.500 0.500 0.000
Rh1 0.500 0.500 0.247
Rh2 0.500 0.500 0.500
```

Most intense lines, 10 to 80 degrees two-theta, low angle first:
2θ = 27.53°, I 11
2θ = 39.32°, I 100
2θ = 48.67°, I 3
2θ = 56.83°, I 17
2θ = 64.28°, I 5
2θ = 71.29°, I 34